Record 1
This entry pairs a crystal structure of Sm2TeAs with its theoretical powder diffractogram. Radiation: Cu Kα, 1.54184 Å. Structure: the PBE geometry in Alexandria.

Top 6 peaks for 2θ from 10° to 90°, most intense first:
Position (°2θ)  d [Å]  I (rel.)
29.14  3.064  100
42.17  2.143  38
41.19  2.191  35
52.08  1.756  20
69.16  1.358  17
67.76  1.383  13

```
Sm2TeAs
1.0
4.2857 0.0000 0.0000
-2.1429 3.7115 0.0000
0.0000 0.0000 21.7228
Sm Te As
6 3 3
Direct
0.0000 0.0000 0.2398
0.0000 0.0000 0.7602
0.3333 0.6667 0.4268
0.3333 0.6667 0.9065
0.6667 0.3333 0.0935
0.6667 0.3333 0.5732
0.0000 0.0000 0.0000
0.3333 0.6667 0.6667
0.6667 0.3333 0.3333
0.0000 0.0000 0.5000
0.3333 0.6667 0.1667
0.6667 0.3333 0.8333
```


Record 2
This entry pairs a crystal structure of Sm3Te3As2 with its theoretical powder diffractogram. Radiation: Cu Kα, 1.54184 Å. Structure: the PBE geometry in Alexandria.

Top 6 peaks for 2θ from 10° to 90°, most intense first:
Position (°2θ)  d [Å]  I (rel.)
33.20  2.699  100
36.00  2.494  60
33.51  2.674  59
30.19  2.961  29
43.45  2.083  26
55.56  1.654  23

```
Sm3Te3As2
1.0
9.2624 0.0000 0.0000
-4.6312 8.0215 0.0000
0.0000 0.0000 5.9212
Sm Te As
6 6 4
Direct
0.0000 0.3873 0.2500
0.0000 0.6127 0.7500
0.3873 0.0000 0.2500
0.3873 0.3873 0.7500
0.6127 0.0000 0.7500
0.6127 0.6127 0.2500
0.0000 0.2605 0.7500
0.0000 0.7395 0.2500
0.2605 0.0000 0.7500
0.2605 0.2605 0.2500
0.7395 0.0000 0.2500
0.7395 0.7395 0.7500
0.3333 0.6667 0.0000
0.3333 0.6667 0.5000
0.6667 0.3333 0.0000
0.6667 0.3333 0.5000
```


Record 3
This entry pairs a crystal structure of Sm2ThTe2As2 with its theoretical powder diffractogram. Radiation: Cu Kα, 1.54184 Å. Structure: the PBE geometry in Alexandria.

Top 6 peaks for 2θ from 10° to 90°, most intense first:
Position (°2θ)  d [Å]  I (rel.)
32.90  2.722  100
22.65  3.926  87
32.25  2.776  86
46.73  1.944  76
46.25  1.963  30
11.33  7.809  29

```
Sm2ThTe2As2
1.0
5.5524 0.0000 0.0000
0.0000 5.5524 0.0000
0.0000 0.0000 15.6175
Sm Th Te As
4 2 4 4
Direct
0.0000 0.0000 0.1124
0.0000 0.0000 0.8876
0.5000 0.5000 0.3876
0.5000 0.5000 0.6124
0.0000 0.0000 0.5000
0.5000 0.5000 0.0000
0.0000 0.0000 0.3037
0.0000 0.0000 0.6963
0.5000 0.5000 0.1963
0.5000 0.5000 0.8037
0.0000 0.5000 0.0000
0.0000 0.5000 0.5000
0.5000 0.0000 0.0000
0.5000 0.0000 0.5000
```


Record 4
This entry pairs a crystal structure of Sm3ThAs4 with its theoretical powder diffractogram. Radiation: Cu Kα, 1.54184 Å. Structure: the PBE geometry in Alexandria.

Top 6 peaks for 2θ from 10° to 90°, most intense first:
Position (°2θ)  d [Å]  I (rel.)
29.91  2.987  100
42.81  2.112  75
53.10  1.725  27
25.83  3.450  26
70.44  1.337  17
70.52  1.335  17

```
Sm3ThAs4
1.0
8.4449 0.0000 0.0000
0.0000 11.9402 0.0000
0.0000 0.0000 4.2306
Sm Th As
6 2 8
Direct
0.0000 0.0000 0.0000
0.2500 0.2500 0.5000
0.2500 0.7500 0.5000
0.5000 0.5000 0.0000
0.7500 0.2500 0.5000
0.7500 0.7500 0.5000
0.0000 0.5000 0.0000
0.5000 0.0000 0.0000
0.0000 0.2504 0.0000
0.0000 0.7496 0.0000
0.2497 0.0000 0.5000
0.2503 0.5000 0.5000
0.5000 0.2496 0.0000
0.5000 0.7504 0.0000
0.7503 0.0000 0.5000
0.7497 0.5000 0.5000
```


Record 5
This entry pairs a crystal structure of SmYTh2As4 with its theoretical powder diffractogram. Radiation: Cu Kα, 1.54184 Å. Structure: the PBE geometry in Alexandria.

Top 6 peaks for 2θ from 10° to 90°, most intense first:
Position (°2θ)  d [Å]  I (rel.)
30.00  2.979  100
42.82  2.112  38
43.05  2.101  37
25.86  3.446  20
53.16  1.723  20
70.54  1.335  17

```
SmYTh2As4
1.0
7.2686 0.0000 0.0000
0.0000 4.2241 0.0000
-2.4628 0.0000 6.8887
Sm Y Th As
1 1 2 4
Direct
0.0000 0.0000 0.0000
0.0000 0.5000 0.5000
0.5000 0.0000 0.5000
0.5000 0.5000 0.0000
0.2452 0.0000 0.7460
0.2470 0.5000 0.2512
0.7530 0.5000 0.7488
0.7548 0.0000 0.2540
```


Record 6
This entry pairs a crystal structure of SmTm2As with its theoretical powder diffractogram. Radiation: Cu Kα, 1.54184 Å. Structure: the PBE geometry in Alexandria.

Top 6 peaks for 2θ from 10° to 90°, most intense first:
Position (°2θ)  d [Å]  I (rel.)
29.92  2.987  100
47.77  1.904  33
37.35  2.407  29
31.43  2.846  28
28.50  3.132  22
56.57  1.627  20

```
SmTm2As
1.0
3.8076 0.0000 0.0000
-1.9038 3.2975 0.0000
0.0000 0.0000 28.1847
Sm Tm As
3 6 3
Direct
0.0000 0.0000 0.0000
0.3333 0.6667 0.6667
0.6667 0.3333 0.3333
0.0000 0.0000 0.2276
0.0000 0.0000 0.7724
0.3333 0.6667 0.4390
0.3333 0.6667 0.8943
0.6667 0.3333 0.1057
0.6667 0.3333 0.5610
0.0000 0.0000 0.5000
0.3333 0.6667 0.1667
0.6667 0.3333 0.8333
```


Record 7
This entry pairs a crystal structure of SmTm2As3 with its theoretical powder diffractogram. Radiation: Cu Kα, 1.54184 Å. Structure: the PBE geometry in Alexandria.

Top 6 peaks for 2θ from 10° to 90°, most intense first:
Position (°2θ)  d [Å]  I (rel.)
30.72  2.910  100
44.00  2.058  75
72.63  1.302  28
54.62  1.680  26
26.52  3.361  24
80.88  1.188  17

```
SmTm2As3
1.0
4.1164 0.0000 0.0000
0.0000 5.8254 0.0000
0.0000 0.0000 12.3370
Sm Tm As
2 4 6
Direct
0.0000 0.0000 0.0000
0.5000 0.5000 0.5000
0.0000 0.0000 0.3343
0.0000 0.0000 0.6657
0.5000 0.5000 0.1657
0.5000 0.5000 0.8343
0.0000 0.5000 0.0000
0.0000 0.5000 0.3283
0.0000 0.5000 0.6717
0.5000 0.0000 0.1717
0.5000 0.0000 0.5000
0.5000 0.0000 0.8283
```


Record 8
This entry pairs a crystal structure of SmTm3As4 with its theoretical powder diffractogram. Radiation: Cu Kα, 1.54184 Å. Structure: the PBE geometry in Alexandria.

Top 6 peaks for 2θ from 10° to 90°, most intense first:
Position (°2θ)  d [Å]  I (rel.)
30.83  2.900  100
44.16  2.051  75
72.94  1.297  34
54.83  1.674  26
81.25  1.184  25
26.62  3.349  24

```
SmTm3As4
1.0
5.8002 0.0000 0.0000
0.0000 5.8002 0.0000
0.0000 0.0000 5.8002
Sm Tm As
1 3 4
Direct
0.0000 0.0000 0.0000
0.0000 0.5000 0.5000
0.5000 0.0000 0.5000
0.5000 0.5000 0.0000
0.0000 0.0000 0.5000
0.0000 0.5000 0.0000
0.5000 0.0000 0.0000
0.5000 0.5000 0.5000
```


Record 9
This entry pairs a crystal structure of Sm3UAs4 with its theoretical powder diffractogram. Radiation: Cu Kα, 1.54184 Å. Structure: the PBE geometry in Alexandria.

Top 6 peaks for 2θ from 10° to 90°, most intense first:
Position (°2θ)  d [Å]  I (rel.)
30.27  2.953  100
43.35  2.087  50
53.62  1.709  13
26.07  3.418  13
53.91  1.701  13
26.20  3.401  13

```
Sm3UAs4
1.0
8.3902 0.0000 0.0000
0.0000 11.7950 0.0000
0.0000 0.0000 4.1637
Sm U As
6 2 8
Direct
0.0000 0.0000 0.0000
0.2500 0.2500 0.5000
0.2500 0.7500 0.5000
0.5000 0.5000 0.0000
0.7500 0.2500 0.5000
0.7500 0.7500 0.5000
0.0000 0.5000 0.0000
0.5000 0.0000 0.0000
0.0000 0.2557 0.0000
0.0000 0.7443 0.0000
0.2431 0.5000 0.5000
0.2569 0.0000 0.5000
0.5000 0.2443 0.0000
0.5000 0.7557 0.0000
0.7431 0.0000 0.5000
0.7569 0.5000 0.5000
```


Record 10
This entry pairs a crystal structure of Sm5UAs6 with its theoretical powder diffractogram. Radiation: Cu Kα, 1.54184 Å. Structure: the PBE geometry in Alexandria.

Top 6 peaks for 2θ from 10° to 90°, most intense first:
Position (°2θ)  d [Å]  I (rel.)
30.19  2.961  100
43.21  2.094  75
71.22  1.324  34
53.62  1.709  26
79.26  1.209  25
26.06  3.419  24

```
Sm5UAs6
1.0
3.6269 -6.2834 0.0000
3.6269 6.2834 0.0000
-2.4187 0.0000 6.8329
Sm U As
5 1 6
Direct
0.0000 0.0000 0.0000
0.1661 0.8339 0.5000
0.3309 0.6691 0.0000
0.6691 0.3309 0.0000
0.8339 0.1661 0.5000
0.5000 0.5000 0.5000
0.0940 0.4185 0.2550
0.2581 0.2581 0.7447
0.4185 0.0940 0.2550
0.5815 0.9060 0.7450
0.7419 0.7419 0.2553
0.9060 0.5815 0.7450
```


Record 11
This entry pairs a crystal structure of Sn4As with its theoretical powder diffractogram. Radiation: Cu Kα, 1.54184 Å. Structure: the PBE geometry in Alexandria.

Top 6 peaks for 2θ from 10° to 90°, most intense first:
Position (°2θ)  d [Å]  I (rel.)
28.62  3.119  100
33.16  2.701  98
47.61  1.910  73
56.49  1.629  47
79.31  1.208  35
88.70  1.103  28

```
Sn4As
1.0
5.4027 0.0000 0.0000
0.0000 5.4027 0.0000
0.0000 0.0000 5.4027
Sn As
4 1
Direct
0.0000 0.0000 0.0000
0.0000 0.5000 0.5000
0.5000 0.0000 0.5000
0.5000 0.5000 0.0000
0.5000 0.5000 0.5000
```


Record 12
This entry pairs a crystal structure of Sr5Sn2As6 with its theoretical powder diffractogram. Radiation: Cu Kα, 1.54184 Å. Structure: the PBE geometry in Alexandria.

Top 6 peaks for 2θ from 10° to 90°, most intense first:
Position (°2θ)  d [Å]  I (rel.)
31.23  2.864  100
24.97  3.567  80
30.96  2.888  73
41.81  2.161  70
37.68  2.387  65
35.49  2.530  62

```
Sr5Sn2As6
1.0
12.0686 0.0000 0.0000
0.0000 14.8286 0.0000
0.0000 0.0000 4.3213
Sr Sn As
10 4 12
Direct
0.0000 0.0000 0.0000
0.0728 0.2516 0.0000
0.1658 0.5110 0.0000
0.3342 0.0110 0.0000
0.4272 0.7516 0.0000
0.5000 0.5000 0.0000
0.5728 0.2484 0.0000
0.6658 0.9890 0.0000
0.8342 0.4890 0.0000
0.9272 0.7484 0.0000
0.1751 0.7207 0.5000
0.3249 0.2207 0.5000
0.6751 0.7793 0.5000
0.8249 0.2793 0.5000
0.0074 0.6033 0.5000
0.1543 0.1021 0.5000
0.1799 0.8334 0.0000
0.3201 0.3334 0.0000
0.3457 0.6021 0.5000
0.4926 0.1033 0.5000
0.5074 0.8967 0.5000
0.6543 0.3979 0.5000
0.6799 0.6666 0.0000
0.8201 0.1666 0.0000
0.8457 0.8979 0.5000
0.9926 0.3967 0.5000
```


Record 13
This entry pairs a crystal structure of Sr3Sn2As4 with its theoretical powder diffractogram. Radiation: Cu Kα, 1.54184 Å. Structure: the PBE geometry in Alexandria.

Top 6 peaks for 2θ from 10° to 90°, most intense first:
Position (°2θ)  d [Å]  I (rel.)
27.48  3.246  100
39.34  2.290  60
27.60  3.232  43
41.42  2.180  30
13.07  6.773  22
50.49  1.807  18

```
Sr3Sn2As4
1.0
7.7903 0.0000 0.0000
0.0000 19.4501 0.0000
-2.9240 0.0000 7.2353
Sr Sn As
12 8 16
Direct
0.2116 0.1823 0.0098
0.2116 0.3177 0.5098
0.2586 0.0593 0.5110
0.2586 0.4407 0.0110
0.2636 0.5623 0.5048
0.2636 0.9377 0.0048
0.7364 0.0623 0.9952
0.7364 0.4377 0.4952
0.7414 0.5593 0.9890
0.7414 0.9407 0.4890
0.7884 0.6823 0.4902
0.7884 0.8177 0.9902
0.2072 0.6224 0.0287
0.2072 0.8776 0.5287
0.3218 0.7440 0.9102
0.3218 0.7560 0.4102
0.6782 0.2440 0.5898
0.6782 0.2560 0.0898
0.7928 0.1224 0.4713
0.7928 0.3776 0.9713
0.0053 0.0544 0.7605
0.0053 0.4456 0.2605
0.0214 0.6826 0.2213
0.0214 0.8174 0.7213
0.4719 0.1944 0.7712
0.4719 0.3056 0.2712
0.4896 0.0632 0.2458
0.4896 0.4368 0.7458
0.5104 0.5632 0.2542
0.5104 0.9368 0.7542
0.5281 0.6944 0.7288
0.5281 0.8056 0.2288
0.9786 0.1826 0.2787
0.9786 0.3174 0.7787
0.9947 0.5544 0.7395
0.9947 0.9456 0.2395
```